1.
Diffraction record for La2SbAsRh6. The PXRD pattern is computed, not measured: it uses a crystal structure in Alexandria, relaxed with PBE and Cu Kα, 1.54184 Å.
Peak positions follow from Bragg's law for the DFT cell and can differ from measured ones.

Peak list (10 most intense, 10 to 90 degrees two-theta, low angle first)
- 26.60°, I = 33
- 28.12°, I = 93
- 29.45°, I = 45
- 33.71°, I = 44
- 38.57°, I = 79
- 38.99°, I = 89
- 41.35°, I = 78
- 41.56°, I = 100
- 44.36°, I = 45
- 58.13°, I = 54

Cell and atoms:
Cell lengths 5.5238, 8.7339, 8.4324 Å; angles 90.00, 90.00, 90.00 degrees
Fractional coordinates of all 20 atoms:
1 La 0.2500 0.0072 0.2171
2 La 0.2500 0.4928 0.2171
3 La 0.7500 0.5072 0.7829
4 La 0.7500 0.9928 0.7829
5 Sb 0.2500 0.2500 0.7638
6 Sb 0.7500 0.7500 0.2362
7 As 0.2500 0.7500 0.7441
8 As 0.7500 0.2500 0.2559
9 Rh 0.0031 0.7500 0.9810
10 Rh 0.0040 0.2500 0.4934
11 Rh 0.2500 0.5007 0.5854
12 Rh 0.2500 0.9993 0.5854
13 Rh 0.4960 0.2500 0.4934
14 Rh 0.4969 0.7500 0.9810
15 Rh 0.5031 0.2500 0.0190
16 Rh 0.5040 0.7500 0.5066
17 Rh 0.7500 0.0007 0.4146
18 Rh 0.7500 0.4993 0.4146
19 Rh 0.9960 0.7500 0.5066
20 Rh 0.9969 0.2500 0.0190

=====

2.
Diffraction record for LiCuAs2Se4. The PXRD pattern is computed, not measured: it uses a crystal structure in Alexandria, relaxed with PBE and Cu Kα, 1.54184 Å.
Peak positions follow from Bragg's law for the DFT cell and can differ from measured ones.

Peak list (10 most intense, 10 to 90 degrees two-theta, low angle first)
- 16.72°, I = 26
- 26.61°, I = 83
- 27.67°, I = 100
- 38.68°, I = 33
- 41.69°, I = 30
- 47.34°, I = 74
- 48.22°, I = 40
- 50.14°, I = 27
- 58.17°, I = 20
- 76.18°, I = 16

Cell and atoms:
Cell lengths 6.7042, 6.4853, 6.3604 Å; angles 62.91, 59.45, 57.63 degrees
Fractional coordinates of all 8 atoms:
1 Li 0.0000 0.0000 0.0000
2 Cu 0.4935 0.4935 0.5065
3 As 0.2492 0.2492 0.2508
4 As 0.7492 0.7492 0.7508
5 Se 0.1223 0.5998 0.8777
6 Se 0.3749 0.8456 0.1544
7 Se 0.5998 0.1223 0.4002
8 Se 0.8456 0.3749 0.6251

=====

3.
Diffraction record for Nd6AlHg3. The PXRD pattern is computed, not measured: it uses a crystal structure in Alexandria, relaxed with PBE and Cu Kα, 1.54184 Å.
Peak positions follow from Bragg's law for the DFT cell and can differ from measured ones.

Peak list (10 most intense, 10 to 90 degrees two-theta, low angle first)
- 30.95°, I = 17
- 32.03°, I = 34
- 32.60°, I = 100
- 32.74°, I = 89
- 33.55°, I = 65
- 36.28°, I = 19
- 46.69°, I = 14
- 47.06°, I = 23
- 58.70°, I = 14
- 59.41°, I = 35

Cell and atoms:
Cell lengths 9.5525, 5.3439, 11.8577 Å; angles 90.00, 106.29, 90.00 degrees
Fractional coordinates of all 20 atoms:
1 Nd 0.0232 0.2500 0.4040
2 Nd 0.1571 0.7500 0.1753
3 Nd 0.2608 0.2500 0.0015
4 Nd 0.3516 0.7500 0.8307
5 Nd 0.3762 0.2500 0.3437
6 Nd 0.3898 0.2500 0.6223
7 Nd 0.6102 0.7500 0.3777
8 Nd 0.6238 0.7500 0.6563
9 Nd 0.6484 0.2500 0.1693
10 Nd 0.7392 0.7500 0.9985
11 Nd 0.8429 0.2500 0.8247
12 Nd 0.9768 0.7500 0.5960
13 Al 0.4532 0.7500 0.1112
14 Al 0.5468 0.2500 0.8888
15 Hg 0.0247 0.7500 0.8779
16 Hg 0.1199 0.2500 0.7214
17 Hg 0.2721 0.7500 0.4687
18 Hg 0.7279 0.2500 0.5313
19 Hg 0.8801 0.7500 0.2786
20 Hg 0.9753 0.2500 0.1221

=====

4.
Diffraction record for TbDyAl2. The PXRD pattern is computed, not measured: it uses a crystal structure in Alexandria, relaxed with PBE and Cu Kα, 1.54184 Å.
Peak positions follow from Bragg's law for the DFT cell and can differ from measured ones.

Peak list (10 most intense, 10 to 90 degrees two-theta, low angle first)
- 24.69°, I = 62
- 35.20°, I = 100
- 43.48°, I = 19
- 50.64°, I = 18
- 57.13°, I = 25
- 63.17°, I = 37
- 74.43°, I = 11
- 79.80°, I = 11
- 79.88°, I = 1
- 85.10°, I = 16

Cell and atoms:
Cell lengths 3.6064, 3.6064, 7.2053 Å; angles 90.00, 90.00, 90.00 degrees
Fractional coordinates of all 4 atoms:
1 Tb 0.0000 0.0000 0.0000
2 Dy 0.0000 0.0000 0.5000
3 Al 0.5000 0.5000 0.2521
4 Al 0.5000 0.5000 0.7479